The following is a simulated PXRD pattern of Cs7Rb12S. It was derived from a PBE-relaxed structure, using Cu Ka.

Principal peaks in the range 10 to 90 degrees two-theta, low angle first:
- 2θ 19.50, rel. 46
- 2θ 20.37, rel. 48
- 2θ 21.76, rel. 100
- 2θ 23.57, rel. 40
- 2θ 23.82, rel. 30
- 2θ 27.28, rel. 34
- 2θ 34.29, rel. 44
- 2θ 45.07, rel. 23

Structure:
Cell: 15.422 15.422 15.422 Å, 115.94 115.94 115.94°
Sites, in units of the cell vectors:
Cs 0.000 0.000 0.000
Cs 0.208 0.416 0.416
Cs 0.416 0.208 0.416
Cs 0.416 0.416 0.208
Cs 0.584 0.584 0.792
Cs 0.584 0.792 0.584
Cs 0.792 0.584 0.584
Rb 0.000 0.407 0.593
Rb 0.000 0.593 0.407
Rb 0.005 0.005 0.360
Rb 0.005 0.360 0.005
Rb 0.360 0.005 0.005
Rb 0.407 0.000 0.593
Rb 0.407 0.593 0.000
Rb 0.593 0.000 0.407
Rb 0.593 0.407 0.000
Rb 0.640 0.995 0.995
Rb 0.995 0.640 0.995
Rb 0.995 0.995 0.640
S 0.500 0.500 0.500